# KBaYB2O6
Computed powder XRD pattern, Cu Kα (λ = 1.5418 Å). Input: DFT lattice parameters and positions (PBE).
Intensities are scaled so that the largest is 1000.

Cell and atoms:
```
data_KBaYB2O6
_chemical_formula_sum 'K1 Ba1 Y1 B2 O6'
_cell_length_a 6.8319
_cell_length_b 6.8319
_cell_length_c 6.8319
_cell_angle_alpha 47.23
_cell_angle_beta 47.23
_cell_angle_gamma 47.23
_symmetry_space_group_name_H-M 'P 1'
_symmetry_Int_Tables_number 1
loop_
_symmetry_equiv_pos_as_xyz
'x,y,z'
loop_
_atom_site_label
_atom_site_fract_x
_atom_site_fract_y
_atom_site_fract_z
K1 0.0000 0.0000 0.0000
Ba1 0.4274 0.4274 0.4274
Y1 0.2218 0.2218 0.2218
B1 0.6330 0.6330 0.6330
B2 0.8095 0.8095 0.8095
O1 0.4857 0.4857 0.9268
O2 0.4857 0.9268 0.4857
O3 0.5158 0.9556 0.9556
O4 0.9268 0.4857 0.4857
O5 0.9556 0.5158 0.9556
O6 0.9556 0.9556 0.5158
```

Top 10 peaks for 10° ≤ 2θ ≤ 90°, sorted by position:
two_theta  intensity
19.35  663
27.19  425
31.01  1000
32.72  645
43.04  355
45.70  251
51.23  171
54.05  167
56.65  228
57.33  232

# SbXeF7
Computed powder XRD pattern, Cu Kα (λ = 1.5418 Å). Input: DFT lattice parameters and positions (PBE).
Intensities are scaled so that the largest is 1000.

Cell and atoms:
```
data_SbXeF7
_chemical_formula_sum 'Sb4 Xe4 F28'
_cell_length_a 5.6059
_cell_length_b 11.2332
_cell_length_c 11.4504
_cell_angle_alpha 90.00
_cell_angle_beta 94.44
_cell_angle_gamma 90.00
_symmetry_space_group_name_H-M 'P 1'
_symmetry_Int_Tables_number 1
loop_
_symmetry_equiv_pos_as_xyz
'x,y,z'
loop_
_atom_site_label
_atom_site_fract_x
_atom_site_fract_y
_atom_site_fract_z
Sb1 0.0969 0.0113 0.2711
Sb2 0.0969 0.4887 0.7711
Sb3 0.9031 0.5113 0.2289
Sb4 0.9031 0.9887 0.7289
Xe1 0.4652 0.7318 0.9729
Xe2 0.4652 0.7682 0.4729
Xe3 0.5348 0.2318 0.5271
Xe4 0.5348 0.2682 0.0271
F1 0.0018 0.6304 0.1240
F2 0.0018 0.8696 0.6240
F3 0.0753 0.5778 0.3627
F4 0.0753 0.9222 0.8627
F5 0.1596 0.0873 0.6874
F6 0.1596 0.4127 0.1874
F7 0.2268 0.6178 0.6888
F8 0.2268 0.8822 0.1888
F9 0.2890 0.5561 0.9178
F10 0.2890 0.9439 0.4178
F11 0.3678 0.1192 0.9736
F12 0.3678 0.3808 0.4736
F13 0.3755 0.1046 0.2503
F14 0.3755 0.3954 0.7503
F15 0.6245 0.6046 0.2497
F16 0.6245 0.8954 0.7497
F17 0.6322 0.6192 0.5264
F18 0.6322 0.8808 0.0264
F19 0.7110 0.0561 0.5822
F20 0.7110 0.4439 0.0822
F21 0.7732 0.1178 0.8112
F22 0.7732 0.3822 0.3112
F23 0.8404 0.5873 0.8126
F24 0.8404 0.9127 0.3126
F25 0.9247 0.0778 0.1373
F26 0.9247 0.4222 0.6373
F27 0.9982 0.1304 0.3760
F28 0.9982 0.3696 0.8760
```

Top 10 peaks for 10° ≤ 2θ ≤ 90°, sorted by position:
two_theta  intensity
18.86  144
19.86  183
21.37  649
22.20  1000
22.44  871
23.12  303
31.34  134
37.82  195
38.26  158
38.69  218

# CsAsH2O4
Computed powder XRD pattern, Cu Kα (λ = 1.5418 Å). Input: DFT lattice parameters and positions (PBE).
Intensities are scaled so that the largest is 1000.

Cell and atoms:
```
data_CsAsH2O4
_chemical_formula_sum 'Cs2 As2 H4 O8'
_cell_length_a 7.0903
_cell_length_b 6.9052
_cell_length_c 8.1227
_cell_angle_alpha 55.59
_cell_angle_beta 53.47
_cell_angle_gamma 70.94
_symmetry_space_group_name_H-M 'P 1'
_symmetry_Int_Tables_number 1
loop_
_symmetry_equiv_pos_as_xyz
'x,y,z'
loop_
_atom_site_label
_atom_site_fract_x
_atom_site_fract_y
_atom_site_fract_z
Cs1 0.0000 0.0000 0.0000
Cs2 0.2500 0.2500 0.2500
As1 0.5155 0.5155 0.4845
As2 0.7655 0.7655 0.7345
H1 0.1574 0.6048 0.7590
H2 0.4910 0.7712 0.0926
H3 0.6048 0.1574 0.4788
H4 0.7712 0.4910 0.6452
O1 0.2858 0.4742 0.7681
O2 0.4742 0.2858 0.4719
O3 0.4817 0.7764 0.2780
O4 0.4819 0.7781 0.9642
O5 0.7764 0.4817 0.4638
O6 0.7781 0.4819 0.7758
O7 0.7862 0.9720 0.4736
O8 0.9720 0.7862 0.7683
```

Top 10 peaks for 10° ≤ 2θ ≤ 90°, sorted by position:
two_theta  intensity
21.90  1000
27.00  594
27.36  623
30.53  201
31.79  176
41.46  365
42.19  351
50.92  188
63.30  112
65.55  128